Diffraction record for Na3Zn. The powder XRD pattern is computed, not measured: it uses a structure optimized by DFT (PBE) and CuKα.

Main lines, by intensity (5 to 70 degrees two-theta):
d/Å	I/Imax
2.626	100
4.049	29
2.752	26
2.989	24
1.462	19
1.563	19
5.977	18
1.725	17

```
Na3Zn
1.0
6.9019 0.0000 0.0000
-3.4510 5.9772 0.0000
0.0000 0.0000 5.5036
Na Zn
6 2
direct
0.1737 0.3474 0.2500 Na
0.1737 0.8263 0.2500 Na
0.3474 0.1737 0.7500 Na
0.6526 0.8263 0.2500 Na
0.8263 0.1737 0.7500 Na
0.8263 0.6526 0.7500 Na
0.3333 0.6667 0.7500 Zn
0.6667 0.3333 0.2500 Zn
```

---

Diffraction record for NaZn. The powder XRD pattern is computed, not measured: it uses a structure optimized by DFT (PBE) and CuKα.

Main lines, by intensity (5 to 70 degrees two-theta):
d/Å	I/Imax
4.464	100
2.536	71
2.562	55
2.203	44
2.599	37
2.333	26
1.982	24
1.993	22

```
NaZn
1.0
0.0000 4.3577 7.6621
2.7624 0.0000 7.6621
2.7624 4.3577 0.0000
Na Zn
4 4
direct
0.0421 0.7079 0.0421 Na
0.2921 0.9579 0.2921 Na
0.7079 0.0421 0.7079 Na
0.9579 0.2921 0.9579 Na
0.2911 0.2911 0.4589 Zn
0.4589 0.4589 0.2911 Zn
0.5411 0.5411 0.7089 Zn
0.7089 0.7089 0.5411 Zn
```